Entry 1:
For AcUTe4, the GGA-PBE geometry in Alexandria gives the theoretical X-ray powder pattern in this record (a wavelength of 1.5418 Å).

Structure:
```
12
Lattice="4.9513 -6.9985 0.0000 4.9513 6.9985 0.0000 -3.9929 0.0000 6.0034" Properties=species:S:1:pos:R:3 pbc="T T T"
Ac 1.9566 5.1422 4.5025
Ac 3.9531 -5.1422 1.5008
U 3.9531 0.0820 1.5008
U 1.9566 -0.0820 4.5025
Te -1.0557 0.9280 4.7223
Te 2.1813 2.4311 2.4707
Te 0.9407 -0.9280 1.7206
Te 5.7249 2.4311 0.5310
Te 0.1848 -2.4311 5.4724
Te 4.9690 0.9280 4.2828
Te 3.7284 -2.4311 3.5327
Te 6.9654 -0.9280 1.2811
```

Main lines, in order of rising 2θ (2θ = 10–80°):
- 12.65°, rel. 68
- 27.95°, rel. 88
- 31.88°, rel. 100
- 34.95°, rel. 84
- 35.34°, rel. 82
- 38.00°, rel. 65

***

Entry 2:
For MgTi2Nb2Pb5O15, the GGA-PBE geometry in Alexandria gives the theoretical X-ray powder pattern in this record (a wavelength of 1.5418 Å).

Structure:
```
25
Lattice="5.3447 -2.7914 0.0000 5.3447 2.7914 0.0000 -2.0875 0.0000 11.8461" Properties=species:S:1:pos:R:3 pbc="T T T"
Mg 0.0000 0.0000 0.0000
Ti 1.0318 0.0000 7.0823
Ti 7.8095 0.0000 4.8435
Nb 3.9790 0.0000 2.4340
Nb 4.9991 0.0000 9.6292
Pb 0.3244 0.0000 3.5048
Pb 1.2427 0.0000 10.5695
Pb 4.1969 0.0000 5.9680
Pb 7.0973 0.0000 1.0885
Pb 8.0746 0.0000 8.3757
O 2.1573 1.3855 6.1556
O -0.4574 0.0000 6.1588
O 3.6305 1.4152 3.8579
O 2.4256 0.0000 1.4652
O 5.0849 1.3630 1.5061
O 4.4794 1.4056 10.8803
O 6.0573 1.4341 8.4763
O 3.4753 0.0000 8.5045
O 2.1573 -1.3855 6.1556
O 3.6305 -1.4152 3.8579
O 6.3383 0.0000 3.8713
O 5.0849 -1.3630 1.5061
O 6.9536 0.0000 10.6689
O 4.4794 -1.4056 10.8803
O 6.0573 -1.4341 8.4763
```

Main lines, in order of rising 2θ (2θ = 10–80°):
- 19.61°, rel. 41
- 22.50°, rel. 47
- 29.91°, rel. 100
- 30.12°, rel. 97
- 32.03°, rel. 82
- 45.93°, rel. 47

***

Entry 3:
For Cs12K7Tl, the GGA-PBE geometry in Alexandria gives the theoretical X-ray powder pattern in this record (a wavelength of 1.5418 Å).

Structure:
```
20
Lattice="10.3614 5.9822 4.8950 -10.3614 5.9822 4.8950 0.0000 -11.9644 4.8950" Properties=species:S:1:pos:R:3 pbc="T T T"
Cs -7.5273 1.6544 5.5412
Cs -0.6979 -2.7967 3.9998
Cs -5.1964 -5.6916 9.1438
Cs -2.0731 2.0028 3.9998
Cs 2.3309 -7.3460 5.5412
Cs 2.7710 0.7940 3.9998
Cs -2.7710 -0.7939 10.6852
Cs -2.3309 7.3461 9.1438
Cs 2.0731 -2.0028 10.6852
Cs 5.1964 5.6916 5.5412
Cs 0.6979 2.7967 10.6852
Cs 7.5273 -1.6544 9.1438
K 0.0000 0.0000 0.0000
K -4.2458 -1.6093 6.4795
K -0.7293 -4.4816 8.2055
K -3.5166 2.8724 8.2055
K 3.5166 -2.8724 6.4795
K 0.7293 4.4816 6.4795
K 4.2458 1.6092 8.2055
Tl 0.0000 0.0000 7.3425
```

Main lines, in order of rising 2θ (2θ = 10–80°):
- 20.06°, rel. 52
- 20.70°, rel. 99
- 21.57°, rel. 80
- 22.43°, rel. 51
- 23.23°, rel. 100
- 24.77°, rel. 61

***

Entry 4:
For Pr4MgNi2, the GGA-PBE geometry in Alexandria gives the theoretical X-ray powder pattern in this record (a wavelength of 1.5418 Å).

Structure:
```
7
Lattice="2.5208 1.4554 8.7569 -2.5208 1.4554 8.7569 0.0000 -2.9108 8.7569" Properties=species:S:1:pos:R:3 pbc="T T T"
Pr 0.0000 0.0000 2.9662
Pr 0.0000 0.0000 7.7096
Pr 0.0000 0.0000 18.5609
Pr 0.0000 0.0000 23.3043
Mg 0.0000 0.0000 13.1353
Ni 0.0000 0.0000 10.5556
Ni 0.0000 0.0000 15.7149
```

Main lines, in order of rising 2θ (2θ = 10–80°):
- 24.48°, rel. 24
- 26.54°, rel. 77
- 31.43°, rel. 35
- 35.62°, rel. 100
- 40.06°, rel. 51
- 63.94°, rel. 29

***

Entry 5:
For Li7Zn3Ag, the GGA-PBE geometry in Alexandria gives the theoretical X-ray powder pattern in this record (a wavelength of 1.5418 Å).

Structure:
```
22
Lattice="1.4358 -11.5545 0.0000 1.4358 11.5545 0.0000 0.0000 0.0000 11.3283" Properties=species:S:1:pos:R:3 pbc="T T T"
Li 1.4358 10.2810 6.9485
Li 1.4358 10.2810 10.0440
Li 1.4358 9.5088 1.2884
Li 1.4358 9.5088 4.3758
Li 1.4358 7.6933 8.4962
Li 1.4358 6.1790 1.2651
Li 1.4358 6.1790 4.3991
Li 1.4358 -6.1790 6.9293
Li 1.4358 -6.1790 10.0632
Li 1.4358 -7.6933 2.8321
Li 1.4358 -9.5088 6.9525
Li 1.4358 -9.5088 10.0399
Li 1.4358 -10.2810 1.2843
Li 1.4358 -10.2810 4.3798
Zn 1.4358 3.6943 8.4962
Zn 1.4358 3.5948 0.3713
Zn 1.4358 3.5948 5.2928
Zn 1.4358 -3.5948 6.0355
Zn 1.4358 -3.5948 10.9570
Zn 1.4358 -3.6943 2.8321
Ag 1.4358 0.4346 8.4962
Ag 1.4358 -0.4346 2.8321
```

Main lines, in order of rising 2θ (2θ = 10–80°):
- 10.94°, rel. 59
- 17.44°, rel. 86
- 21.98°, rel. 67
- 23.09°, rel. 100
- 24.81°, rel. 60
- 31.39°, rel. 56

***

Entry 6:
For Rb2LiRu, the GGA-PBE geometry in Alexandria gives the theoretical X-ray powder pattern in this record (a wavelength of 1.5418 Å).

Structure:
```
16
Lattice="8.3976 0.0000 0.0000 0.0000 8.3976 0.0000 0.0000 0.0000 8.3976" Properties=species:S:1:pos:R:3 pbc="T T T"
Rb 2.0994 2.0994 2.0994
Rb 2.0994 2.0994 6.2982
Rb 2.0994 6.2982 2.0994
Rb 2.0994 6.2982 6.2982
Rb 6.2982 2.0994 2.0994
Rb 6.2982 2.0994 6.2982
Rb 6.2982 6.2982 2.0994
Rb 6.2982 6.2982 6.2982
Li 0.0000 0.0000 0.0000
Li 0.0000 4.1988 4.1988
Li 4.1988 0.0000 4.1988
Li 4.1988 4.1988 0.0000
Ru 0.0000 0.0000 4.1988
Ru 0.0000 4.1988 0.0000
Ru 4.1988 0.0000 0.0000
Ru 4.1988 4.1988 4.1988
```

Main lines, in order of rising 2θ (2θ = 10–80°):
- 18.30°, rel. 28
- 30.10°, rel. 100
- 35.45°, rel. 16
- 43.09°, rel. 18
- 53.45°, rel. 38
- 70.99°, rel. 16

***

Entry 7:
For TmPRh2, the GGA-PBE geometry in Alexandria gives the theoretical X-ray powder pattern in this record (a wavelength of 1.5418 Å).

Structure:
```
8
Lattice="4.0948 0.0000 0.0000 0.0000 5.5945 0.0000 0.0000 0.0000 5.9467" Properties=species:S:1:pos:R:3 pbc="T T T"
Tm 1.0237 1.3986 0.6434
Tm 3.0711 4.1959 5.3034
P 1.0237 4.1959 1.9934
P 3.0711 1.3986 3.9533
Rh 1.0237 0.0683 3.9023
Rh 1.0237 2.7289 3.9023
Rh 3.0711 2.8656 2.0444
Rh 3.0711 5.5262 2.0444
```

Main lines, in order of rising 2θ (2θ = 10–80°):
- 26.98°, rel. 41
- 30.96°, rel. 47
- 34.15°, rel. 40
- 35.46°, rel. 46
- 37.38°, rel. 83
- 41.96°, rel. 100

***

Entry 8:
For HfTi4, the GGA-PBE geometry in Alexandria gives the theoretical X-ray powder pattern in this record (a wavelength of 1.5418 Å).

Structure:
```
10
Lattice="8.6142 0.0000 0.0000 0.0000 4.6803 0.0000 -2.5921 0.0000 4.5919" Properties=species:S:1:pos:R:3 pbc="T T T"
Hf 0.0000 0.0000 0.0000
Hf 4.3071 2.3402 0.0000
Ti -0.9487 2.3402 3.5903
Ti 0.4507 0.0000 2.8983
Ti 1.2643 2.3402 1.6936
Ti 2.6637 0.0000 1.0015
Ti 3.3584 0.0000 3.5903
Ti 4.7578 2.3402 2.8983
Ti 5.5714 0.0000 1.6936
Ti 6.9708 2.3402 1.0015
```

Main lines, in order of rising 2θ (2θ = 10–80°):
- 22.39°, rel. 39
- 25.56°, rel. 56
- 36.77°, rel. 100
- 37.69°, rel. 48
- 38.47°, rel. 53
- 39.92°, rel. 91

***

Entry 9:
For KRuO4, the GGA-PBE geometry in Alexandria gives the theoretical X-ray powder pattern in this record (a wavelength of 1.5418 Å).

Structure:
```
12
Lattice="-2.8816 2.8816 6.5480 2.8816 -2.8816 6.5480 2.8816 2.8816 -6.5480" Properties=species:S:1:pos:R:3 pbc="T T T"
K 0.0000 1.4408 1.6370
K 2.8816 1.4408 4.9110
Ru 2.8816 1.4408 -1.6370
Ru 0.0000 1.4408 8.1850
O 1.5832 0.7972 -0.6494
O 2.2380 -0.1424 2.6246
O 2.2380 2.7392 -2.6246
O 1.2984 -0.7972 5.8986
O 1.5832 3.6789 0.6494
O 0.6436 0.1424 9.1726
O 0.6436 3.0240 3.9235
O 1.2984 2.0844 7.1975
```

Main lines, in order of rising 2θ (2θ = 10–80°):
- 16.81°, rel. 41
- 25.60°, rel. 17
- 25.75°, rel. 100
- 31.03°, rel. 19
- 41.76°, rel. 27
- 52.09°, rel. 24

***

Entry 10:
For Sm6Y12Tm, the GGA-PBE geometry in Alexandria gives the theoretical X-ray powder pattern in this record (a wavelength of 1.5418 Å).

Structure:
```
19
Lattice="5.5751 3.2188 5.8517 -5.5751 3.2188 5.8517 0.0000 -6.4376 5.8517" Properties=species:S:1:pos:R:3 pbc="T T T"
Sm 0.0000 -2.5200 7.0277
Sm -2.1824 1.2600 7.0277
Sm -2.1824 -1.2600 10.5274
Sm 2.1824 1.2600 7.0276
Sm 2.1824 -1.2600 10.5274
Sm 0.0000 2.5200 10.5274
Y -1.9581 -1.1305 4.3361
Y 0.0000 -4.3802 4.2485
Y -3.7934 2.1901 4.2485
Y -3.7934 -2.1901 13.3065
Y 1.9581 -1.1305 4.3361
Y 0.0000 2.2611 4.3361
Y 0.0000 -2.2611 13.2189
Y -1.9581 1.1305 13.2189
Y 3.7934 2.1901 4.2485
Y 3.7934 -2.1901 13.3065
Y 0.0000 4.3802 13.3065
Y 1.9581 1.1305 13.2189
Tm 0.0000 0.0000 8.7775
```

Main lines, in order of rising 2θ (2θ = 10–80°):
- 27.71°, rel. 17
- 30.55°, rel. 19
- 31.73°, rel. 100
- 41.72°, rel. 20
- 49.02°, rel. 19
- 55.05°, rel. 13

***

Entry 11:
For Y2Ga4Ir3, the GGA-PBE geometry in Alexandria gives the theoretical X-ray powder pattern in this record (a wavelength of 1.5418 Å).

Structure:
```
9
Lattice="0.0000 4.7911 6.3231 2.7524 0.0000 6.3231 2.7524 4.7911 0.0000" Properties=species:S:1:pos:R:3 pbc="T T T"
Y 2.7524 4.7911 1.5871
Y 2.7524 4.7911 11.0591
Ga 2.7524 3.1630 4.2750
Ga 2.7524 3.1630 8.3711
Ga 2.7524 6.4192 4.2750
Ga 2.7524 6.4192 8.3711
Ir 1.3762 2.3955 0.0000
Ir 1.3762 2.3955 6.3231
Ir 2.7524 4.7911 6.3231
```

Main lines, in order of rising 2θ (2θ = 10–80°):
- 14.01°, rel. 100
- 37.69°, rel. 34
- 38.98°, rel. 67
- 40.30°, rel. 54
- 40.40°, rel. 66
- 71.57°, rel. 29